Entry 1:
Starting from the PBE geometry in Alexandria, the powder diffraction line list of As3Pt was computed for Cu Kα (λ = 1.5418 Å).
Neutral-atom scattering factors, no anomalous dispersion.

Atomic structure:
a = 3.7793 Å, b = 9.5059 Å, c = 4.8817 Å
α = 90.00°, β = 90.00°, γ = 90.00°
Space group Imm2 (No. 44)
Unique sites:
1 As 0.0000 0.0000 0.0000
2 As 0.0000 0.1447 0.4309
3 Pt 0.0000 0.5000 0.1705

Top 10 peaks for 2θ from 5° to 70°, low angle first:
- 18.67 deg, d = 4.753 Å, I = 100, (0 2 0)
- 20.45 deg, d = 4.343 Å, I = 79, (0 1 1)
- 29.90 deg, d = 2.988 Å, I = 66, (1 0 1)
- 33.72 deg, d = 2.658 Å, I = 57, (0 3 1)
- 35.48 deg, d = 2.530 Å, I = 98, (1 2 1)
- 37.02 deg, d = 2.428 Å, I = 44, (1 3 0)
- 45.24 deg, d = 2.004 Å, I = 87, (1 1 2)
- 48.16 deg, d = 1.890 Å, I = 29, (2 0 0)
- 48.97 deg, d = 1.860 Å, I = 60, (1 4 1)
- 60.08 deg, d = 1.540 Å, I = 21, (2 3 1)



Entry 2:
Starting from the PBE geometry in Alexandria, the powder diffraction line list of Ga4B2O9 was computed for Cu Kα (λ = 1.5418 Å).
Neutral-atom scattering factors, no anomalous dispersion.

Atomic structure:
a = 16.0004 Å, b = 5.6964 Å, c = 11.3092 Å
α = 90.00°, β = 134.00°, γ = 90.00°
Space group C2/m (No. 12)
Unique sites:
1 Ga 0.0025 0.0000 0.2630
2 Ga 0.1313 0.0000 0.1359
3 Ga 0.2500 0.2500 0.0000
4 Ga 0.2500 0.2500 0.5000
5 B 0.0046 0.5000 0.7040
6 B 0.2098 0.5000 0.2116
7 O 0.0041 0.0000 0.9018
8 O 0.0606 0.2917 0.3680
9 O 0.1246 0.5000 0.8368
10 O 0.1565 0.0000 0.8722
11 O 0.2003 0.2860 0.1417
12 O 0.2100 0.0000 0.3672
13 O 0.2268 0.5000 0.3510

Top 10 peaks for 2θ from 5° to 70°, low angle first:
- 11.06 deg, d = 7.999 Å, I = 23, (2 0 -1)
- 15.40 deg, d = 5.755 Å, I = 35, (2 0 0)
- 15.67 deg, d = 5.654 Å, I = 100, (2 0 -2)
- 17.39 deg, d = 5.101 Å, I = 89, (1 1 0)
- 31.65 deg, d = 2.827 Å, I = 46, (4 0 -4)
- 34.74 deg, d = 2.582 Å, I = 23, (2 0 2)
- 35.16 deg, d = 2.553 Å, I = 35, (2 2 0)
- 35.25 deg, d = 2.546 Å, I = 47, (6 0 -2)
- 38.59 deg, d = 2.333 Å, I = 38, (0 2 2)
- 58.00 deg, d = 1.590 Å, I = 21, (2 0 -6)



Entry 3:
Starting from the PBE geometry in Alexandria, the powder diffraction line list of CsCu4S2Br was computed for Cu Kα (λ = 1.5418 Å).
Neutral-atom scattering factors, no anomalous dispersion.

Atomic structure:
a = 4.0430 Å, b = 4.0430 Å, c = 10.6309 Å
α = 90.00°, β = 90.00°, γ = 90.00°
Space group P4/mmm (No. 123)
Unique sites:
1 Cs 0.0000 0.0000 0.0000
2 Cu 0.0000 0.5000 0.3045
3 S 0.5000 0.5000 0.2151
4 Br 0.0000 0.0000 0.5000

Top 10 peaks for 2θ from 5° to 70°, low angle first:
- 21.98 deg, d = 4.043 Å, I = 24, (1 0 0)
- 25.13 deg, d = 3.544 Å, I = 25, (0 0 3)
- 27.72 deg, d = 3.218 Å, I = 100, (1 0 2)
- 32.43 deg, d = 2.761 Å, I = 21, (1 1 1)
- 33.70 deg, d = 2.659 Å, I = 25, (0 0 4)
- 35.66 deg, d = 2.518 Å, I = 92, (1 1 2)
- 40.57 deg, d = 2.224 Å, I = 38, (1 1 3)
- 44.84 deg, d = 2.022 Å, I = 53, (2 0 0)
- 53.53 deg, d = 1.712 Å, I = 30, (2 1 2)
- 53.73 deg, d = 1.706 Å, I = 28, (1 1 5)



Entry 4:
Starting from the PBE geometry in Alexandria, the powder diffraction line list of Dy2ErNi was computed for Cu Kα (λ = 1.5418 Å).
Neutral-atom scattering factors, no anomalous dispersion.

Atomic structure:
a = 6.8135 Å, b = 9.5484 Å, c = 6.2909 Å
α = 90.00°, β = 90.00°, γ = 90.00°
Space group Pnma (No. 62)
Unique sites:
1 Dy 0.1798 0.0657 0.1782
2 Er 0.0343 0.2500 0.6405
3 Ni 0.1088 0.7500 0.9487

Top 10 peaks for 2θ from 5° to 70°, low angle first:
- 31.31 deg, d = 2.857 Å, I = 88, (1 0 2)
- 31.50 deg, d = 2.840 Å, I = 100, (0 3 1)
- 32.28 deg, d = 2.773 Å, I = 59, (2 2 0)
- 32.73 deg, d = 2.736 Å, I = 68, (1 1 2)
- 34.19 deg, d = 2.623 Å, I = 50, (1 3 1)
- 35.37 deg, d = 2.538 Å, I = 52, (2 2 1)
- 38.72 deg, d = 2.326 Å, I = 21, (2 3 0)
- 49.31 deg, d = 1.848 Å, I = 27, (1 2 3)
- 54.07 deg, d = 1.696 Å, I = 23, (1 3 3)
- 57.89 deg, d = 1.593 Å, I = 46, (0 6 0)



Entry 5:
Starting from the PBE geometry in Alexandria, the powder diffraction line list of Dy4AgAu3 was computed for Cu Kα (λ = 1.5418 Å).
Neutral-atom scattering factors, no anomalous dispersion.

Atomic structure:
a = 3.7078 Å, b = 4.7189 Å, c = 11.0394 Å
α = 90.00°, β = 90.00°, γ = 90.00°
Space group Pmm2 (No. 25)
Unique sites:
1 Dy 0.0000 0.0000 0.0000
2 Dy 0.0000 0.5000 0.2749
3 Dy 0.5000 0.0000 0.4939
4 Dy 0.5000 0.5000 0.7758
5 Ag 0.0000 0.0000 0.7207
6 Au 0.0000 0.5000 0.5505
7 Au 0.5000 0.0000 0.2242
8 Au 0.5000 0.5000 0.0477

Top 10 peaks for 2θ from 5° to 70°, low angle first:
- 31.74 deg, d = 2.819 Å, I = 100, (1 1 1)
- 32.44 deg, d = 2.760 Å, I = 32, (0 0 4)
- 34.33 deg, d = 2.612 Å, I = 14, (1 0 3)
- 37.76 deg, d = 2.382 Å, I = 27, (0 1 4)
- 38.14 deg, d = 2.359 Å, I = 37, (0 2 0)
- 39.43 deg, d = 2.285 Å, I = 79, (1 1 3)
- 49.14 deg, d = 1.854 Å, I = 18, (2 0 0)
- 50.92 deg, d = 1.793 Å, I = 18, (0 2 4)
- 63.85 deg, d = 1.458 Å, I = 17, (2 2 0)
- 69.80 deg, d = 1.347 Å, I = 15, (1 3 3)



Entry 6:
Starting from the PBE geometry in Alexandria, the powder diffraction line list of Pu2HF8 was computed for Cu Kα (λ = 1.5418 Å).
Neutral-atom scattering factors, no anomalous dispersion.

Atomic structure:
a = 6.8979 Å, b = 11.1027 Å, c = 4.4537 Å
α = 90.00°, β = 94.63°, γ = 90.00°
Space group C2/m (No. 12)
Unique sites:
1 Pu 0.0000 0.1734 0.0000
2 H 0.0000 0.5000 0.5000
3 F 0.0000 0.2091 0.5000
4 F 0.1035 0.0000 0.2363
5 F 0.1890 0.3454 0.0944

Top 10 peaks for 2θ from 5° to 70°, low angle first:
- 15.16 deg, d = 5.845 Å, I = 88, (1 1 0)
- 15.97 deg, d = 5.551 Å, I = 57, (0 2 0)
- 20.00 deg, d = 4.439 Å, I = 100, (0 0 1)
- 25.70 deg, d = 3.467 Å, I = 29, (0 2 1)
- 25.92 deg, d = 3.438 Å, I = 47, (2 0 0)
- 27.37 deg, d = 3.259 Å, I = 71, (1 3 0)
- 33.48 deg, d = 2.676 Å, I = 27, (1 3 -1)
- 34.77 deg, d = 2.580 Å, I = 46, (1 3 1)
- 46.61 deg, d = 1.948 Å, I = 30, (3 3 0)
- 50.66 deg, d = 1.802 Å, I = 30, (1 3 2)



Entry 7:
Starting from the PBE geometry in Alexandria, the powder diffraction line list of PrTmAl was computed for Cu Kα (λ = 1.5418 Å).
Neutral-atom scattering factors, no anomalous dispersion.

Atomic structure:
a = 5.3264 Å, b = 5.3264 Å, c = 6.7245 Å
α = 90.00°, β = 90.00°, γ = 120.00°
Space group P6_3/mmc (No. 194)
Unique sites:
1 Pr 0.0000 0.0000 0.0000
2 Tm 0.3333 0.6667 0.2500
3 Al 0.3333 0.6667 0.7500

Top 10 peaks for 2θ from 5° to 70°, low angle first:
- 23.39 deg, d = 3.804 Å, I = 61, (1 0 1)
- 32.97 deg, d = 2.717 Å, I = 100, (1 0 2)
- 33.65 deg, d = 2.663 Å, I = 94, (1 1 0)
- 41.39 deg, d = 2.182 Å, I = 14, (2 0 1)
- 44.96 deg, d = 2.016 Å, I = 11, (1 0 3)
- 47.82 deg, d = 1.902 Å, I = 35, (2 0 2)
- 54.36 deg, d = 1.688 Å, I = 13, (2 1 1)
- 59.75 deg, d = 1.548 Å, I = 36, (2 1 2)
- 60.18 deg, d = 1.538 Å, I = 18, (3 0 0)
- 65.68 deg, d = 1.422 Å, I = 27, (1 1 4)



Entry 8:
Starting from the PBE geometry in Alexandria, the powder diffraction line list of TbSmIn2 was computed for Cu Kα (λ = 1.5418 Å).
Neutral-atom scattering factors, no anomalous dispersion.

Atomic structure:
a = 7.0591 Å, b = 8.6696 Å, c = 3.5756 Å
α = 90.00°, β = 90.00°, γ = 90.00°
Space group Cmmm (No. 65)
Unique sites:
1 Tb 0.0000 0.0000 0.0000
2 Sm 0.0000 0.5000 0.0000
3 In 0.2500 0.2500 0.5000

Top 10 peaks for 2θ from 5° to 70°, low angle first:
- 32.46 deg, d = 2.758 Å, I = 100, (0 2 1)
- 32.72 deg, d = 2.737 Å, I = 98, (2 2 0)
- 35.75 deg, d = 2.512 Å, I = 77, (2 0 1)
- 41.67 deg, d = 2.167 Å, I = 25, (0 4 0)
- 51.09 deg, d = 1.788 Å, I = 14, (0 0 2)
- 51.80 deg, d = 1.765 Å, I = 13, (4 0 0)
- 56.04 deg, d = 1.641 Å, I = 42, (2 4 1)
- 62.00 deg, d = 1.497 Å, I = 31, (2 2 2)
- 62.48 deg, d = 1.487 Å, I = 30, (4 2 1)
- 67.97 deg, d = 1.379 Å, I = 12, (0 4 2)



Entry 9:
Starting from the PBE geometry in Alexandria, the powder diffraction line list of Pu2S3 was computed for Cu Kα (λ = 1.5418 Å).
Neutral-atom scattering factors, no anomalous dispersion.

Atomic structure:
a = 8.2902 Å, b = 8.2902 Å, c = 25.1143 Å
α = 90.00°, β = 90.00°, γ = 90.00°
Space group I-42d (No. 122)
Unique sites:
1 Pu 0.0000 0.0000 0.1650
2 Pu 0.1198 0.2500 0.6250
3 Pu 0.1346 0.2447 0.2890
4 S 0.0757 0.1734 0.0670
5 S 0.0757 0.1795 0.3962
6 S 0.0779 0.1701 0.7343

Top 10 peaks for 2θ from 5° to 70°, low angle first:
- 26.16 deg, d = 3.406 Å, I = 58, (1 1 6)
- 26.29 deg, d = 3.390 Å, I = 100, (2 1 3)
- 33.90 deg, d = 2.645 Å, I = 32, (1 0 9)
- 34.19 deg, d = 2.623 Å, I = 75, (3 1 0)
- 40.46 deg, d = 2.230 Å, I = 28, (2 1 9)
- 40.66 deg, d = 2.219 Å, I = 42, (3 2 3)
- 49.05 deg, d = 1.857 Å, I = 22, (4 0 6)
- 51.50 deg, d = 1.775 Å, I = 25, (3 2 9)
- 56.59 deg, d = 1.626 Å, I = 19, (5 1 0)
- 69.90 deg, d = 1.346 Å, I = 22, (6 1 3)